Simulated powder diffractogram
Compound: In11Sb3O24
Radiation: CuKα
Structure: the GGA-PBE geometry in the Materials Project
No peak broadening, texture or thermal motion is included.

Principal peaks in the range 15 to 90 degrees two-theta, in order of falling intensity:
h k l  2θ (°)  I (rel.)
2 -1 1  30.11  100
-1 1 2  29.86  51
2 2 2  29.59  47
1 0 3  34.62  39
3 4 1  49.73  27
3 1 0  34.81  20
5 0 1  59.43  17
2 1 -3  50.13  14
-3 2 1  50.04  14
1 -3 2  50.27  14

Crystal structure
```
data_In11Sb3O24
_chemical_formula_sum 'In11 Sb3 O24'
_cell_length_a 8.174
_cell_length_b 8.204
_cell_length_c 8.243
_cell_angle_alpha 71.45
_cell_angle_beta 71.95
_cell_angle_gamma 72.05
_symmetry_space_group_name_H-M 'P 1'
_symmetry_Int_Tables_number 1
loop_
_symmetry_equiv_pos_as_xyz
'x,y,z'
loop_
_atom_site_label
_atom_site_type_symbol
_atom_site_fract_x
_atom_site_fract_y
_atom_site_fract_z
In1 In 0.000 0.000 0.000
In2 In 0.023 0.794 0.674
In3 In 0.127 0.607 0.318
In4 In 0.195 0.328 0.971
In5 In 0.301 0.138 0.604
In6 In 0.340 0.928 0.283
In7 In 0.486 0.506 0.499
In8 In 0.523 0.295 0.181
In9 In 0.701 0.825 0.461
In10 In 0.804 0.634 0.112
In11 In 0.837 0.435 0.783
Sb1 Sb 0.415 0.714 0.895
Sb2 Sb 0.625 0.111 0.821
Sb3 Sb 0.914 0.212 0.392
O1 O 0.048 0.132 0.169
O2 O 0.089 0.225 0.808
O3 O 0.134 0.082 0.476
O4 O 0.195 0.852 0.805
O5 O 0.239 0.713 0.475
O6 O 0.282 0.800 0.112
O7 O 0.330 0.389 0.401
O8 O 0.330 0.489 0.026
O9 O 0.427 0.295 0.722
O10 O 0.430 0.121 0.049
O11 O 0.495 0.044 0.386
O12 O 0.503 0.948 0.768
O13 O 0.543 0.638 0.671
O14 O 0.588 0.719 0.308
O15 O 0.636 0.580 0.979
O16 O 0.694 0.348 0.307
O17 O 0.729 0.212 0.966
O18 O 0.777 0.282 0.627
O19 O 0.816 0.904 0.887
O20 O 0.824 0.994 0.526
O21 O 0.912 0.800 0.210
O22 O 0.916 0.632 0.563
O23 O 0.996 0.435 0.267
O24 O 0.996 0.551 0.890
```

Simulated powder diffractogram
Compound: VRu3
Radiation: CuKα
Structure: the GGA-PBE geometry in the Materials Project
No peak broadening, texture or thermal motion is included.

Principal peaks in the range 15 to 90 degrees two-theta, in order of falling intensity:
h k l  2θ (°)  I (rel.)
2 0 1  43.76  100
2 0 0  38.02  25
0 0 2  42.46  24
2 2 2  84.20  19
2 0 3  78.59  17
2 2 0  68.70  17
2 0 2  58.30  14
4 0 1  85.10  14
1 0 1  28.19  9
1 1 0  32.77  3

Crystal structure
```
data_VRu3
_chemical_formula_sum 'V2 Ru6'
_cell_length_a 5.4651
_cell_length_b 5.4651
_cell_length_c 4.2581
_cell_angle_alpha 90.00
_cell_angle_beta 90.00
_cell_angle_gamma 120.00
_symmetry_space_group_name_H-M 'P 63/m m c'
_symmetry_Int_Tables_number 194
_symmetry_space_group_name_Hall '-P 6c 2c'
loop_
_atom_site_label
_atom_site_type_symbol
_atom_site_fract_x
_atom_site_fract_y
_atom_site_fract_z
V1 V 0.3333 0.6667 0.2500
Ru1 Ru 0.1699 0.3398 0.7500
```

Simulated powder diffractogram
Compound: BaAu
Radiation: CuKα
Structure: the GGA-PBE geometry in the Materials Project
No peak broadening, texture or thermal motion is included.

Principal peaks in the range 15 to 90 degrees two-theta, in order of falling intensity:
h k l  2θ (°)  I (rel.)
1 1 2  34.43  100
2 1 1  30.79  89
2 1 0  27.50  53
0 2 0  35.66  41
1 0 1  17.16  38
1 0 2  29.35  35
3 2 1  50.54  31
3 0 1  34.59  27
1 2 2  46.82  22
0 0 4  56.46  22

Crystal structure
```
data_BaAu
_chemical_formula_sum 'Ba4 Au4'
_cell_length_a 8.478
_cell_length_b 5.036
_cell_length_c 6.521
_cell_angle_alpha 90.00
_cell_angle_beta 90.00
_cell_angle_gamma 90.00
_symmetry_space_group_name_H-M 'P n m a'
_symmetry_Int_Tables_number 62
loop_
_symmetry_equiv_pos_as_xyz
'x,y,z'
'-x,-y,-z'
'-x+1/2,-y,z+1/2'
'x+1/2,y,-z+1/2'
'x+1/2,-y+1/2,-z+1/2'
'-x+1/2,y+1/2,z+1/2'
'-x,y+1/2,-z'
'x,-y+1/2,z'
loop_
_atom_site_label
_atom_site_type_symbol
_atom_site_fract_x
_atom_site_fract_y
_atom_site_fract_z
Ba1 Ba 0.183 0.250 0.138
Au1 Au 0.038 0.250 0.634
```

Simulated powder diffractogram
Compound: Ca4AlZn43
Radiation: CuKα
Structure: the GGA-PBE geometry in the Materials Project
No peak broadening, texture or thermal motion is included.

Principal peaks in the range 15 to 90 degrees two-theta, in order of falling intensity:
h k l  2θ (°)  I (rel.)
1 5 5  44.40  100
2 4 2  37.34  60
0 6 2  37.65  51
2 2 6  46.30  38
3 3 1  43.86  36
3 1 1  40.30  27
0 2 2  16.60  24
1 5 1  32.92  23
2 10 0  67.76  21
2 4 4  42.90  18

Crystal structure
```
data_Ca4AlZn43
_chemical_formula_sum 'Ca8 Al2 Zn86'
_cell_length_a 6.866
_cell_length_b 15.103
_cell_length_c 15.116
_cell_angle_alpha 90.00
_cell_angle_beta 90.00
_cell_angle_gamma 90.00
_symmetry_space_group_name_H-M 'C 2 2 2'
_symmetry_Int_Tables_number 21
loop_
_symmetry_equiv_pos_as_xyz
'x,y,z'
'-x,-y,z'
'x,-y,-z'
'-x,y,-z'
'x+1/2,y+1/2,z'
'-x+1/2,-y+1/2,z'
'x+1/2,-y+1/2,-z'
'-x+1/2,y+1/2,-z'
loop_
_atom_site_label
_atom_site_type_symbol
_atom_site_fract_x
_atom_site_fract_y
_atom_site_fract_z
Ca1 Ca 0.000 0.000 0.000
Ca2 Ca 0.000 0.500 0.500
Ca3 Ca 0.250 0.250 0.250
Al1 Al 0.000 0.000 0.500
Zn1 Zn 0.000 0.500 0.000
Zn2 Zn 0.052 0.087 0.792
Zn3 Zn 0.052 0.293 0.586
Zn4 Zn 0.052 0.413 0.708
Zn5 Zn 0.053 0.207 0.914
Zn6 Zn 0.125 0.375 0.875
Zn7 Zn 0.126 0.125 0.625
Zn8 Zn 0.197 0.043 0.336
Zn9 Zn 0.197 0.457 0.164
Zn10 Zn 0.198 0.163 0.458
Zn11 Zn 0.198 0.337 0.042
Zn12 Zn 0.250 0.250 0.749
```

Simulated powder diffractogram
Compound: Rb2LiScF6
Radiation: CuKα
Structure: the GGA-PBE geometry in the Materials Project
No peak broadening, texture or thermal motion is included.

Principal peaks in the range 15 to 90 degrees two-theta, in order of falling intensity:
h k l  2θ (°)  I (rel.)
2 2 0  29.85  100
2 2 2  36.77  65
4 0 0  42.72  61
4 2 2  52.98  39
4 4 0  62.00  36
2 0 0  20.98  23
6 4 2  85.90  21
6 2 2  74.31  19
6 2 0  70.32  18
1 1 1  18.15  15

Crystal structure
```
data_Rb2LiScF6
_chemical_formula_sum 'Rb8 Li4 Sc4 F24'
_cell_length_a 8.467
_cell_length_b 8.467
_cell_length_c 8.467
_cell_angle_alpha 90.00
_cell_angle_beta 90.00
_cell_angle_gamma 90.00
_symmetry_space_group_name_H-M 'F m -3 m'
_symmetry_Int_Tables_number 225
_symmetry_space_group_name_Hall '-F 4 2 3'
loop_
_atom_site_label
_atom_site_type_symbol
_atom_site_fract_x
_atom_site_fract_y
_atom_site_fract_z
Rb1 Rb 0.250 0.250 0.250
Li1 Li 0.000 0.000 0.000
Sc1 Sc 0.000 0.000 0.500
F1 F 0.000 0.000 0.258
```